[1]
Calculated PXRD pattern of Ca2InIrO8 for Cu Kα (weighted mean of Kα1 and Kα2), from a crystal structure in Alexandria, relaxed with PBE.
Intensities are scaled so that the largest is 100.

Atomic structure:
```
Ca2InIrO8
1.0
5.028 0.000 0.000
0.000 6.862 0.000
-0.293 0.000 5.044
Ca In Ir O
2 1 1 8
direct
0.000 0.248 0.000 Ca
0.000 0.752 0.000 Ca
0.500 0.000 0.500 In
0.500 0.500 0.500 Ir
0.215 0.000 0.214 O
0.231 0.500 0.229 O
0.322 0.301 0.675 O
0.322 0.699 0.675 O
0.678 0.301 0.325 O
0.678 0.699 0.325 O
0.769 0.500 0.771 O
0.785 0.000 0.786 O
```

Top 10 peaks for 15° ≤ 2θ ≤ 90°, low angle first:
17.6 deg, intensity 92
24.3 deg, intensity 69
25.8 deg, intensity 53
26.0 deg, intensity 18
31.6 deg, intensity 100
35.8 deg, intensity 41
47.5 deg, intensity 23
47.6 deg, intensity 23
49.1 deg, intensity 18
49.3 deg, intensity 18

[2]
Calculated PXRD pattern of Ce3Co2Ge6Rh for Cu Kα (weighted mean of Kα1 and Kα2), from a crystal structure in Alexandria, relaxed with PBE.
Intensities are scaled so that the largest is 100.

Atomic structure:
```
Ce3Co2Ge6Rh
1.0
6.218 0.000 0.000
-3.109 5.385 0.000
0.000 0.000 7.049
Ce Co Ge Rh
3 2 6 1
direct
0.000 0.000 0.000 Ce
0.333 0.667 0.718 Ce
0.667 0.333 0.282 Ce
0.333 0.667 0.016 Co
0.667 0.333 0.984 Co
0.194 0.388 0.301 Ge
0.194 0.806 0.301 Ge
0.388 0.194 0.699 Ge
0.612 0.806 0.301 Ge
0.806 0.194 0.699 Ge
0.806 0.612 0.699 Ge
0.000 0.000 0.500 Rh
```

Top 10 peaks for 15° ≤ 2θ ≤ 90°, low angle first:
28.7 deg, intensity 83
30.3 deg, intensity 52
35.7 deg, intensity 100
38.3 deg, intensity 21
42.2 deg, intensity 67
51.6 deg, intensity 29
59.5 deg, intensity 33
60.4 deg, intensity 18
75.6 deg, intensity 19
82.8 deg, intensity 24